# 1
Diffraction record for ZnBiWO5. The XRD peak list is theoretical, not measured: it uses the PBE+U geometry in the Materials Project and Cu Kα.

```
data_ZnBiWO5
_space_group_name_H-M_alt 'P 1 21/c 1'
_space_group_IT_number 14
_cell_length_a 5.3806
_cell_length_b 12.0156
_cell_length_c 8.4934
_cell_angle_alpha 90.00
_cell_angle_beta 113.09
_cell_angle_gamma 90.00
loop_
_space_group_symop_operation_xyz
'x,y,z'
'-x,-y,-z'
'-x,y+1/2,-z+1/2'
'x,-y+1/2,z+1/2'
loop_
_atom_site_label
_atom_site_type_symbol
_atom_site_fract_x
_atom_site_fract_y
_atom_site_fract_z
Zn1 Zn 0.0627 0.0851 0.1655
Bi1 Bi 0.4388 0.1020 0.8415
W1 W 0.2980 0.6379 0.0296
O1 O 0.1542 0.5690 0.1696
O2 O 0.2061 0.7058 0.4855
O3 O 0.2603 0.0260 0.0167
O4 O 0.2947 0.5699 0.8314
O5 O 0.3487 0.1879 0.3296
```

Top 6 peaks for 10 to 90 degrees two-theta, in order of rising 2θ:
| d/Å | I/Imax |
| --- | --- |
| 3.710 | 100 |
| 3.083 | 94 |
| 3.004 | 33 |
| 2.794 | 38 |
| 2.617 | 29 |
| 2.545 | 27 |

# 2
Diffraction record for Li2Mn3Si2O8. The XRD peak list is theoretical, not measured: it uses the PBE+U geometry in the Materials Project and Cu Kα.

```
data_Li2Mn3Si2O8
_space_group_name_H-M_alt 'P 1'
_space_group_IT_number 1
_cell_length_a 5.1239
_cell_length_b 9.0689
_cell_length_c 13.6454
_cell_angle_alpha 108.41
_cell_angle_beta 100.37
_cell_angle_gamma 90.49
loop_
_space_group_symop_operation_xyz
'x,y,z'
loop_
_atom_site_label
_atom_site_type_symbol
_atom_site_fract_x
_atom_site_fract_y
_atom_site_fract_z
Li1 Li 0.0000 0.0000 0.0000
Li2 Li 0.0456 0.7367 0.0862
Li3 Li 0.1673 0.8643 0.3306
Li4 Li 0.2850 0.9818 0.5931
Li5 Li 0.8168 0.1682 0.7000
Li6 Li 0.9503 0.2680 0.9188
Mn1 Mn 0.1570 0.1619 0.2635
Mn2 Mn 0.2410 0.5689 0.4230
Mn3 Mn 0.4100 0.3548 0.7686
Mn4 Mn 0.4879 0.7657 0.9223
Mn5 Mn 0.4922 0.2407 0.0710
Mn6 Mn 0.5726 0.6501 0.2320
Mn7 Mn 0.7591 0.0913 0.4198
Mn8 Mn 0.8414 0.8583 0.7317
Mn9 Mn 0.8434 0.4988 0.5752
Si1 Si 0.0515 0.4378 0.1714
Si2 Si 0.3200 0.2744 0.5157
Si3 Si 0.3922 0.0560 0.8298
Si4 Si 0.5904 0.9509 0.1662
Si5 Si 0.7471 0.7968 0.4869
Si6 Si 0.9426 0.5720 0.8313
O1 O 0.0416 0.3925 0.8058
O2 O 0.0881 0.3919 0.2819
O3 O 0.1132 0.7060 0.9367
O4 O 0.1487 0.0098 0.7252
O5 O 0.2393 0.1144 0.9316
O6 O 0.3458 0.4503 0.1405
O7 O 0.3600 0.1350 0.4062
O8 O 0.3905 0.8284 0.1890
O9 O 0.3943 0.0900 0.1501
O10 O 0.4390 0.4442 0.5164
O11 O 0.4692 0.2254 0.6166
O12 O 0.4849 0.7304 0.3870
O13 O 0.5830 0.9125 0.8410
O14 O 0.6059 0.1883 0.8237
O15 O 0.6209 0.8756 0.5924
O16 O 0.6354 0.5590 0.8493
O17 O 0.7404 0.8819 0.0655
O18 O 0.8404 0.0190 0.2683
O19 O 0.8811 0.2925 0.0735
O20 O 0.9261 0.6501 0.4968
O21 O 0.9394 0.6132 0.1942
O22 O 0.9475 0.6349 0.7296
O23 O 0.9515 0.9180 0.4638
O24 O 0.9985 0.2876 0.5127
```

Top 6 peaks for 10 to 90 degrees two-theta, in order of rising 2θ:
| d/Å | I/Imax |
| --- | --- |
| 4.399 | 34 |
| 4.241 | 58 |
| 4.219 | 60 |
| 3.659 | 32 |
| 2.613 | 41 |
| 2.596 | 100 |

# 3
Diffraction record for FePHC4O3F3. The XRD peak list is theoretical, not measured: it uses the PBE+U geometry in the Materials Project and Cu Kα.

```
data_FePHC4O3F3
_space_group_name_H-M_alt 'P -1'
_space_group_IT_number 2
_cell_length_a 8.3082
_cell_length_b 8.4729
_cell_length_c 13.2096
_cell_angle_alpha 79.18
_cell_angle_beta 80.82
_cell_angle_gamma 69.28
loop_
_space_group_symop_operation_xyz
'x,y,z'
'-x,-y,-z'
loop_
_atom_site_label
_atom_site_type_symbol
_atom_site_fract_x
_atom_site_fract_y
_atom_site_fract_z
Fe1 Fe 0.1214 0.0941 0.1951
Fe2 Fe 0.2098 0.2238 0.3433
P1 P 0.1258 0.3552 0.1898
P2 P 0.3844 0.0419 0.2392
H1 H 0.0280 0.5028 0.8190
H2 H 0.4864 0.9164 0.8328
C1 C 0.0055 0.3542 0.3989
C2 C 0.1088 0.8932 0.2619
C3 C 0.1100 0.8175 0.7960
C4 C 0.1680 0.0562 0.0646
C5 C 0.2222 0.0616 0.4538
C6 C 0.2574 0.4553 0.0834
C7 C 0.3510 0.3221 0.3733
C8 C 0.4683 0.1786 0.7128
O1 O 0.0932 0.7668 0.3054
O2 O 0.1270 0.5629 0.5655
O3 O 0.1983 0.0318 0.9790
O4 O 0.2229 0.9621 0.5269
O5 O 0.2595 0.7620 0.7897
O6 O 0.4425 0.3848 0.3931
F1 F 0.1908 0.6296 0.0727
F2 F 0.2570 0.4105 0.9891
F3 F 0.3216 0.1714 0.6817
F4 F 0.4142 0.2817 0.7884
F5 F 0.4253 0.4087 0.1022
F6 F 0.4532 0.7428 0.3689
```

Top 6 peaks for 10 to 90 degrees two-theta, in order of rising 2θ:
| d/Å | I/Imax |
| --- | --- |
| 7.171 | 55 |
| 6.950 | 55 |
| 6.454 | 47 |
| 6.348 | 100 |
| 5.521 | 54 |
| 4.767 | 38 |

# 4
Diffraction record for Cs2Tm2MgW4O16. The XRD peak list is theoretical, not measured: it uses the PBE+U geometry in the Materials Project and Cu Kα.

```
data_Cs2Tm2MgW4O16
_space_group_name_H-M_alt 'C 1 2 1'
_space_group_IT_number 5
_cell_length_a 11.4610
_cell_length_b 10.8087
_cell_length_c 7.7113
_cell_angle_alpha 90.00
_cell_angle_beta 130.97
_cell_angle_gamma 90.00
loop_
_space_group_symop_operation_xyz
'x,y,z'
'-x,y,-z'
'x+1/2,y+1/2,z'
'-x+1/2,y+1/2,-z'
loop_
_atom_site_label
_atom_site_type_symbol
_atom_site_fract_x
_atom_site_fract_y
_atom_site_fract_z
Cs1 Cs 0.0000 0.0000 0.0000
Cs2 Cs 0.0000 0.3859 0.5000
Tm1 Tm 0.0000 0.4021 0.0000
Tm2 Tm 0.0000 0.9537 0.5000
Mg1 Mg 0.0000 0.7222 0.0000
W1 W 0.2044 0.6816 0.4677
W2 W 0.2099 0.6712 0.9577
O1 O 0.0036 0.7902 0.7159
O2 O 0.0137 0.5765 0.1921
O3 O 0.1466 0.2894 0.9735
O4 O 0.1490 0.0691 0.4632
O5 O 0.1873 0.3191 0.3587
O6 O 0.1878 0.6194 0.6801
O7 O 0.1913 0.0298 0.8634
O8 O 0.2142 0.7422 0.2167
```

Top 6 peaks for 10 to 90 degrees two-theta, in order of rising 2θ:
| d/Å | I/Imax |
| --- | --- |
| 3.377 | 100 |
| 3.325 | 36 |
| 3.138 | 85 |
| 2.911 | 37 |
| 2.846 | 31 |
| 1.928 | 29 |

# 5
Diffraction record for Ca3Fe2Sb2O12. The XRD peak list is theoretical, not measured: it uses the PBE+U geometry in the Materials Project and Cu Kα.

```
data_Ca3Fe2Sb2O12
_space_group_name_H-M_alt 'P 1'
_space_group_IT_number 1
_cell_length_a 5.4975
_cell_length_b 5.5927
_cell_length_c 7.7487
_cell_angle_alpha 90.30
_cell_angle_beta 90.22
_cell_angle_gamma 90.93
loop_
_space_group_symop_operation_xyz
'x,y,z'
loop_
_atom_site_label
_atom_site_type_symbol
_atom_site_fract_x
_atom_site_fract_y
_atom_site_fract_z
Ca1 Ca 0.0000 0.0000 0.0000
Ca2 Ca 0.0210 0.0942 0.5004
Ca3 Ca 0.5191 0.4842 0.0003
Fe1 Fe 0.0013 0.5459 0.7466
Fe2 Fe 0.5114 0.0245 0.2566
Sb1 Sb 0.0034 0.5506 0.2533
Sb2 Sb 0.5138 0.0244 0.7437
O1 O 0.0996 0.5599 0.0020
O2 O 0.1943 0.8525 0.2841
O3 O 0.1967 0.8486 0.7160
O4 O 0.2839 0.3268 0.2895
O5 O 0.2931 0.3103 0.7177
O6 O 0.4229 0.0693 0.9978
O7 O 0.6014 0.0152 0.4984
O8 O 0.7174 0.7539 0.8125
O9 O 0.7219 0.7553 0.1895
O10 O 0.7987 0.2460 0.7948
O11 O 0.7987 0.2546 0.2039
O12 O 0.9327 0.5162 0.5024
```

Top 6 peaks for 10 to 90 degrees two-theta, in order of rising 2θ:
| d/Å | I/Imax |
| --- | --- |
| 3.952 | 50 |
| 3.882 | 100 |
| 2.796 | 43 |
| 2.767 | 86 |
| 2.751 | 82 |
| 2.736 | 41 |

# 6
Diffraction record for Cr3O4. The XRD peak list is theoretical, not measured: it uses the PBE+U geometry in the Materials Project and Cu Kα.

```
data_Cr3O4
_space_group_name_H-M_alt 'C 1 2/c 1'
_space_group_IT_number 15
_cell_length_a 8.3423
_cell_length_b 8.1996
_cell_length_c 6.1774
_cell_angle_alpha 90.00
_cell_angle_beta 132.29
_cell_angle_gamma 90.00
loop_
_space_group_symop_operation_xyz
'x,y,z'
'-x,-y,-z'
'-x,y,-z+1/2'
'x,-y,z+1/2'
'x+1/2,y+1/2,z'
'-x+1/2,-y+1/2,-z'
'-x+1/2,y+1/2,-z+1/2'
'x+1/2,-y+1/2,z+1/2'
loop_
_atom_site_label
_atom_site_type_symbol
_atom_site_fract_x
_atom_site_fract_y
_atom_site_fract_z
Cr1 Cr 0.0000 0.0000 0.0000
Cr2 Cr 0.2500 0.2500 0.0000
Cr3 Cr 0.2500 0.2500 0.5000
O1 O 0.0216 0.2428 0.0480
O2 O 0.2127 0.0009 0.4465
```

Top 6 peaks for 10 to 90 degrees two-theta, in order of rising 2θ:
| d/Å | I/Imax |
| --- | --- |
| 4.931 | 100 |
| 2.463 | 75 |
| 2.285 | 69 |
| 2.086 | 56 |
| 2.050 | 53 |
| 1.526 | 31 |

# 7
Diffraction record for MgCo4Hg2O8. The XRD peak list is theoretical, not measured: it uses the PBE+U geometry in the Materials Project and Cu Kα.

```
data_MgCo4Hg2O8
_space_group_name_H-M_alt 'P 1'
_space_group_IT_number 1
_cell_length_a 6.0202
_cell_length_b 6.0394
_cell_length_c 6.2985
_cell_angle_alpha 118.39
_cell_angle_beta 108.62
_cell_angle_gamma 91.28
loop_
_space_group_symop_operation_xyz
'x,y,z'
loop_
_atom_site_label
_atom_site_type_symbol
_atom_site_fract_x
_atom_site_fract_y
_atom_site_fract_z
Mg1 Mg 0.0000 0.0000 0.0000
Co1 Co 0.4017 0.5361 0.0628
Co2 Co 0.8599 0.5091 0.4721
Co3 Co 0.8798 0.0118 0.5121
Co4 Co 0.9178 0.5313 0.0491
Hg1 Hg 0.3892 0.2821 0.5157
Hg2 Hg 0.4378 0.9015 0.8216
O1 O 0.0248 0.1957 0.3666
O2 O 0.0847 0.7188 0.4577
O3 O 0.1495 0.2732 0.9615
O4 O 0.1837 0.7314 0.0101
O5 O 0.6338 0.3417 0.1089
O6 O 0.6537 0.7571 0.1051
O7 O 0.7394 0.8285 0.6522
O8 O 0.7512 0.3502 0.6426
```

Top 6 peaks for 10 to 90 degrees two-theta, in order of rising 2θ:
| d/Å | I/Imax |
| --- | --- |
| 5.579 | 80 |
| 3.064 | 83 |
| 2.984 | 82 |
| 2.973 | 93 |
| 2.790 | 100 |
| 2.569 | 95 |